The following is a theoretical powder diffractogram of Na2B3C. It was derived from a DFT-relaxed cell (PBE, Alexandria), using Cu Kα.
No peak broadening, texture or thermal motion is included.

The 10 most intense peaks (2θ from 10° to 90°), in order of rising 2θ:
- 34.86 deg, I = 11
- 35.94 deg, I = 17
- 40.85 deg, I = 50
- 41.80 deg, I = 100
- 41.97 deg, I = 37
- 63.21 deg, I = 18
- 76.56 deg, I = 12
- 78.77 deg, I = 9
- 78.83 deg, I = 8
- 79.96 deg, I = 10

Atomic structure:
```
Na2B3C
1.0
5.148 0.000 0.000
0.000 2.858 0.000
-0.014 0.000 17.220
Na B C
8 12 4
Cartesian
0.000 0.000 0.000
5.143 0.000 4.305
0.009 0.000 12.997
2.548 1.429 12.997
2.570 1.429 4.304
2.580 1.429 8.650
2.570 1.429 17.202
5.128 0.000 8.630
0.781 1.429 2.151
0.831 1.429 10.714
0.876 1.429 15.111
0.914 1.429 6.465
1.718 0.000 10.714
1.876 0.000 2.148
3.262 0.000 6.465
3.401 0.000 10.920
3.451 0.000 15.111
4.227 1.429 2.149
4.288 1.429 10.919
4.355 1.429 6.466
1.719 0.000 6.461
1.721 0.000 15.109
3.418 0.000 2.147
4.295 1.429 15.116
```

The following is a theoretical powder diffractogram of Dy7AlS5. It was derived from a DFT-relaxed cell (PBE, Alexandria), using Cu Kα.
No peak broadening, texture or thermal motion is included.

The 10 most intense peaks (2θ from 10° to 90°), in order of rising 2θ:
- 27.72 deg, I = 29
- 28.38 deg, I = 66
- 30.07 deg, I = 100
- 31.83 deg, I = 90
- 32.99 deg, I = 53
- 33.61 deg, I = 30
- 46.24 deg, I = 45
- 46.64 deg, I = 32
- 54.94 deg, I = 32
- 56.50 deg, I = 34

Atomic structure:
```
Dy7AlS5
1.0
6.497 -1.947 0.000
6.497 1.947 0.000
-12.987 0.000 23.393
Dy Al S
14 2 10
Cartesian
-4.137 0.000 7.606
-8.841 0.000 19.303
1.777 0.000 0.833
-5.294 0.000 14.317
-0.259 0.000 5.849
-1.777 0.000 12.530
-5.286 0.000 20.771
5.294 0.000 2.622
1.785 0.000 10.862
0.267 0.000 17.544
5.302 0.000 9.076
-1.769 0.000 22.559
8.849 0.000 4.090
4.145 0.000 15.787
-3.958 0.000 17.548
3.966 0.000 5.845
-6.493 0.000 11.696
-10.052 0.000 21.739
0.611 0.000 3.273
-2.933 0.000 10.043
0.614 0.000 8.423
6.497 0.000 0.000
-0.606 0.000 14.970
2.941 0.000 13.350
-0.604 0.000 20.120
10.060 0.000 1.653
```

The following is a theoretical powder diffractogram of K4Ag5Te6. It was derived from a DFT-relaxed cell (PBE, Alexandria), using Cu Kα.
No peak broadening, texture or thermal motion is included.

The 10 most intense peaks (2θ from 10° to 90°), in order of rising 2θ:
- 20.67 deg, I = 29
- 22.75 deg, I = 25
- 26.70 deg, I = 21
- 28.44 deg, I = 26
- 29.32 deg, I = 25
- 36.99 deg, I = 50
- 38.24 deg, I = 37
- 40.11 deg, I = 100
- 54.26 deg, I = 26
- 68.76 deg, I = 20

Atomic structure:
```
K4Ag5Te6
1.0
2.430 -10.532 0.000
2.430 10.532 0.000
0.000 0.000 18.830
K Ag Te
8 10 12
Cartesian
2.430 10.297 11.691
2.430 10.297 16.553
2.430 6.789 1.306
2.430 6.789 8.109
2.430 -6.789 10.721
2.430 -6.789 17.523
2.430 -10.297 2.276
2.430 -10.297 7.139
2.430 7.577 14.122
2.430 4.511 14.122
2.430 3.017 2.296
2.430 3.017 7.119
2.430 1.463 14.122
2.430 -1.463 4.707
2.430 -3.017 11.711
2.430 -3.017 16.534
2.430 -4.511 4.707
2.430 -7.577 4.707
2.430 7.742 4.707
2.430 6.056 11.686
2.430 6.056 16.559
2.430 1.404 9.513
2.430 1.404 18.731
2.430 1.302 4.707
2.430 -1.302 14.122
2.430 -1.404 0.098
2.430 -1.404 9.316
2.430 -6.056 2.271
2.430 -6.056 7.144
2.430 -7.742 14.122
```

The following is a theoretical powder diffractogram of Tm4Cu2Ir. It was derived from a DFT-relaxed cell (PBE, Alexandria), using Cu Kα.
No peak broadening, texture or thermal motion is included.

The 10 most intense peaks (2θ from 10° to 90°), in order of rising 2θ:
- 27.25 deg, I = 50
- 30.87 deg, I = 100
- 32.15 deg, I = 80
- 33.61 deg, I = 81
- 33.73 deg, I = 100
- 34.90 deg, I = 78
- 36.22 deg, I = 51
- 39.77 deg, I = 55
- 41.24 deg, I = 47
- 41.38 deg, I = 48

Atomic structure:
```
Tm4Cu2Ir
1.0
6.824 0.000 0.000
-2.177 7.098 0.000
-2.161 -2.761 6.550
Tm Cu Ir
8 4 2
Cartesian
0.000 0.000 0.000
-2.894 5.375 2.864
-1.566 0.630 5.066
-0.784 4.115 5.350
1.228 3.310 2.565
2.701 -0.458 2.076
1.842 0.653 5.097
4.827 2.280 1.806
-0.862 4.653 0.548
2.344 1.906 0.331
2.446 4.765 0.471
3.613 2.855 4.359
0.187 0.813 2.781
3.596 -1.547 4.374
```

The following is a theoretical powder diffractogram of Rb2Ce2RhS6. It was derived from a DFT-relaxed cell (PBE, Alexandria), using Cu Kα.
No peak broadening, texture or thermal motion is included.

The 10 most intense peaks (2θ from 10° to 90°), in order of rising 2θ:
- 11.21 deg, I = 92
- 22.53 deg, I = 36
- 27.04 deg, I = 18
- 27.57 deg, I = 34
- 29.96 deg, I = 52
- 30.64 deg, I = 100
- 40.33 deg, I = 20
- 40.55 deg, I = 35
- 46.05 deg, I = 40
- 47.01 deg, I = 16

Atomic structure:
```
Rb2Ce2RhS6
1.0
3.440 -5.775 0.000
3.440 5.775 0.000
-2.344 0.000 7.894
Rb Ce Rh S
2 2 1 6
Cartesian
3.440 3.779 0.000
3.440 -3.779 0.000
2.268 1.943 3.947
2.268 -1.943 3.947
-1.172 0.000 3.947
-0.119 1.724 5.398
0.849 0.000 2.519
-0.119 -1.724 5.398
4.655 1.724 2.496
3.686 0.000 5.375
4.655 -1.724 2.496
```

The following is a theoretical powder diffractogram of Ho3Tm2Ru2. It was derived from a DFT-relaxed cell (PBE, Alexandria), using Cu Kα.
No peak broadening, texture or thermal motion is included.

The 10 most intense peaks (2θ from 10° to 90°), in order of rising 2θ:
- 31.55 deg, I = 53
- 32.26 deg, I = 49
- 32.54 deg, I = 100
- 33.55 deg, I = 64
- 33.98 deg, I = 45
- 35.28 deg, I = 54
- 36.20 deg, I = 48
- 40.31 deg, I = 40
- 47.00 deg, I = 45
- 60.36 deg, I = 32

Atomic structure:
```
Ho3Tm2Ru2
1.0
5.895 -1.933 0.000
5.895 1.933 0.000
-3.304 0.000 7.672
Ho Tm Ru
3 2 2
Cartesian
0.000 0.000 0.000
0.011 0.000 3.300
8.475 0.000 4.372
3.325 0.000 1.428
5.161 0.000 6.244
1.203 0.000 5.988
7.284 0.000 1.683
```

The following is a theoretical powder diffractogram of DyTmB4. It was derived from a DFT-relaxed cell (PBE, Alexandria), using Cu Kα.
No peak broadening, texture or thermal motion is included.

The 10 most intense peaks (2θ from 10° to 90°), in order of rising 2θ:
- 26.35 deg, I = 100
- 31.17 deg, I = 37
- 34.52 deg, I = 60
- 39.27 deg, I = 95
- 47.19 deg, I = 29
- 51.65 deg, I = 23
- 58.89 deg, I = 23
- 60.95 deg, I = 20
- 61.56 deg, I = 22
- 63.61 deg, I = 21

Atomic structure:
```
DyTmB4
1.0
-1.770 1.770 5.740
1.770 -1.770 5.740
1.770 1.770 -5.740
Dy Tm B
1 1 4
Cartesian
0.000 0.000 0.000
1.770 0.000 2.870
0.000 0.000 4.825
0.000 0.000 6.654
0.000 1.770 1.973
0.000 1.770 3.766
```

Please write out number 6 again, unchanged.
The following is a theoretical powder diffractogram of Ho3Tm2Ru2. It was derived from a DFT-relaxed cell (PBE, Alexandria), using Cu Kα.
No peak broadening, texture or thermal motion is included.

The 10 most intense peaks (2θ from 10° to 90°), in order of rising 2θ:
- 31.55 deg, I = 53
- 32.26 deg, I = 49
- 32.54 deg, I = 100
- 33.55 deg, I = 64
- 33.98 deg, I = 45
- 35.28 deg, I = 54
- 36.20 deg, I = 48
- 40.31 deg, I = 40
- 47.00 deg, I = 45
- 60.36 deg, I = 32

Atomic structure:
```
Ho3Tm2Ru2
1.0
5.895 -1.933 0.000
5.895 1.933 0.000
-3.304 0.000 7.672
Ho Tm Ru
3 2 2
Cartesian
0.000 0.000 0.000
0.011 0.000 3.300
8.475 0.000 4.372
3.325 0.000 1.428
5.161 0.000 6.244
1.203 0.000 5.988
7.284 0.000 1.683
```

Repeat the fifth record exactly.
The following is a theoretical powder diffractogram of Rb2Ce2RhS6. It was derived from a DFT-relaxed cell (PBE, Alexandria), using Cu Kα.
No peak broadening, texture or thermal motion is included.

The 10 most intense peaks (2θ from 10° to 90°), in order of rising 2θ:
- 11.21 deg, I = 92
- 22.53 deg, I = 36
- 27.04 deg, I = 18
- 27.57 deg, I = 34
- 29.96 deg, I = 52
- 30.64 deg, I = 100
- 40.33 deg, I = 20
- 40.55 deg, I = 35
- 46.05 deg, I = 40
- 47.01 deg, I = 16

Atomic structure:
```
Rb2Ce2RhS6
1.0
3.440 -5.775 0.000
3.440 5.775 0.000
-2.344 0.000 7.894
Rb Ce Rh S
2 2 1 6
Cartesian
3.440 3.779 0.000
3.440 -3.779 0.000
2.268 1.943 3.947
2.268 -1.943 3.947
-1.172 0.000 3.947
-0.119 1.724 5.398
0.849 0.000 2.519
-0.119 -1.724 5.398
4.655 1.724 2.496
3.686 0.000 5.375
4.655 -1.724 2.496
```